No. 1
The following is a simulated PXRD pattern of CaSnPd. It was derived from a cell relaxed with PBE, using Cu Kα, 1.54184 Å.
Peak positions follow from Bragg's law for the DFT cell and can differ from measured ones.

Structure:
Cell lengths 7.381, 4.630, 8.134 Å; angles 90.00, 90.00, 90.00 degrees
Fractional coordinates of all 12 atoms:
Ca 0.020 0.250 0.186
Ca 0.480 0.750 0.686
Ca 0.520 0.250 0.314
Ca 0.980 0.750 0.814
Sn 0.165 0.250 0.571
Sn 0.335 0.750 0.071
Sn 0.665 0.250 0.929
Sn 0.835 0.750 0.429
Pd 0.212 0.750 0.389
Pd 0.288 0.250 0.889
Pd 0.712 0.750 0.111
Pd 0.788 0.250 0.611

Main lines, most intense first (10° ≤ 2θ ≤ 90°):
d = 2.340 Å, 38.47 deg, rel. 100; d = 2.720 Å, 32.93 deg, rel. 92; d = 2.355 Å, 38.22 deg, rel. 73; d = 2.823 Å, 31.69 deg, rel. 70; d = 2.315 Å, 38.90 deg, rel. 69; d = 5.466 Å, 16.22 deg, rel. 54; d = 4.024 Å, 22.09 deg, rel. 54; d = 1.651 Å, 55.67 deg, rel. 42; d = 3.691 Å, 24.11 deg, rel. 42; d = 1.916 Å, 47.44 deg, rel. 40; d = 1.976 Å, 45.92 deg, rel. 38; d = 1.485 Å, 62.56 deg, rel. 31

No. 2
The following is a simulated PXRD pattern of CaTbPd2. It was derived from a cell relaxed with PBE, using Cu Kα, 1.54184 Å.
Peak positions follow from Bragg's law for the DFT cell and can differ from measured ones.

Structure:
Cell lengths 4.983, 4.983, 4.983 Å; angles 60.00, 60.00, 60.00 degrees
Fractional coordinates of all 4 atoms:
Ca 0.000 0.000 0.000
Tb 0.500 0.500 0.500
Pd 0.250 0.250 0.250
Pd 0.750 0.750 0.750

Main lines, most intense first (10° ≤ 2θ ≤ 90°):
d = 2.492 Å, 36.05 deg, rel. 100; d = 1.439 Å, 64.81 deg, rel. 35; d = 4.069 Å, 21.84 deg, rel. 18; d = 1.762 Å, 51.90 deg, rel. 17; d = 1.114 Å, 87.55 deg, rel. 16; d = 1.246 Å, 76.46 deg, rel. 11; d = 2.125 Å, 42.55 deg, rel. 10; d = 1.617 Å, 56.96 deg, rel. 4; d = 1.191 Å, 80.66 deg, rel. 3; d = 1.356 Å, 69.28 deg, rel. 3

No. 3
The following is a simulated PXRD pattern of CaTmPd2. It was derived from a cell relaxed with PBE, using Cu Kα, 1.54184 Å.
Peak positions follow from Bragg's law for the DFT cell and can differ from measured ones.

Structure:
Cell lengths 4.933, 4.933, 4.933 Å; angles 60.00, 60.00, 60.00 degrees
Fractional coordinates of all 4 atoms:
Ca 0.000 0.000 0.000
Tm 0.500 0.500 0.500
Pd 0.250 0.250 0.250
Pd 0.750 0.750 0.750

Main lines, most intense first (10° ≤ 2θ ≤ 90°):
d = 2.466 Å, 36.43 deg, rel. 100; d = 1.424 Å, 65.55 deg, rel. 35; d = 4.028 Å, 22.07 deg, rel. 20; d = 1.744 Å, 52.47 deg, rel. 17; d = 1.103 Å, 88.68 deg, rel. 16; d = 2.103 Å, 43.00 deg, rel. 11; d = 1.233 Å, 77.38 deg, rel. 11; d = 1.600 Å, 57.59 deg, rel. 5; d = 1.179 Å, 81.65 deg, rel. 4; d = 1.343 Å, 70.09 deg, rel. 4

No. 4
The following is a simulated PXRD pattern of CaZrPd. It was derived from a cell relaxed with PBE, using Cu Kα, 1.54184 Å.
Peak positions follow from Bragg's law for the DFT cell and can differ from measured ones.

Structure:
Cell lengths 4.676, 4.676, 4.676 Å; angles 60.00, 60.00, 60.00 degrees
Fractional coordinates of all 3 atoms:
Ca 0.000 0.000 0.000
Zr 0.250 0.250 0.250
Pd 0.750 0.750 0.750

Main lines, most intense first (10° ≤ 2θ ≤ 90°):
d = 2.338 Å, 38.51 deg, rel. 100; d = 3.306 Å, 26.97 deg, rel. 56; d = 1.350 Å, 69.66 deg, rel. 33; d = 1.479 Å, 62.85 deg, rel. 20; d = 1.653 Å, 55.59 deg, rel. 17; d = 1.909 Å, 47.64 deg, rel. 16; d = 1.169 Å, 82.52 deg, rel. 10; d = 1.102 Å, 88.77 deg, rel. 10; d = 3.818 Å, 23.30 deg, rel. 9; d = 1.994 Å, 45.49 deg, rel. 4; d = 1.517 Å, 61.08 deg, rel. 2; d = 1.273 Å, 74.57 deg, rel. 1

What did the second record say?
The following is a simulated PXRD pattern of CaTbPd2. It was derived from a cell relaxed with PBE, using Cu Kα, 1.54184 Å.
Peak positions follow from Bragg's law for the DFT cell and can differ from measured ones.

Structure:
Cell lengths 4.983, 4.983, 4.983 Å; angles 60.00, 60.00, 60.00 degrees
Fractional coordinates of all 4 atoms:
Ca 0.000 0.000 0.000
Tb 0.500 0.500 0.500
Pd 0.250 0.250 0.250
Pd 0.750 0.750 0.750

Main lines, most intense first (10° ≤ 2θ ≤ 90°):
d = 2.492 Å, 36.05 deg, rel. 100; d = 1.439 Å, 64.81 deg, rel. 35; d = 4.069 Å, 21.84 deg, rel. 18; d = 1.762 Å, 51.90 deg, rel. 17; d = 1.114 Å, 87.55 deg, rel. 16; d = 1.246 Å, 76.46 deg, rel. 11; d = 2.125 Å, 42.55 deg, rel. 10; d = 1.617 Å, 56.96 deg, rel. 4; d = 1.191 Å, 80.66 deg, rel. 3; d = 1.356 Å, 69.28 deg, rel. 3